# 1
For BaSr2BiO4, a GGA-PBE-relaxed structure gives the computed powder X-ray diffraction pattern in this record (λ = 1.5418 Å (Cu Kα)).
Neutral-atom scattering factors, no anomalous dispersion.

Largest 8 diffraction maxima, by angle, 10° ≤ 2θ ≤ 90°:
- 13.0°, d 6.788, rel. 35.3
- 28.6°, d 3.120, rel. 22.1
- 28.8°, d 3.098, rel. 28.2
- 29.7°, d 3.008, rel. 100.0
- 30.7°, d 2.914, rel. 47.1
- 33.2°, d 2.697, rel. 23.7
- 39.0°, d 2.311, rel. 31.7
- 54.6°, d 1.682, rel. 34.0

a = 3.6675 Å, b = 18.5905 Å, c = 9.9372 Å
α = 90.00°, β = 90.00°, γ = 90.00°
Space group Cmcm (No. 63)
Symmetry-distinct sites (fractional):
Ba 0.0000 0.2417 0.2500 [4 per cell]
Sr 0.0000 0.0946 0.5443 [8 per cell]
Bi 0.0000 0.4330 0.7500 [4 per cell]
O 0.0000 0.1580 0.7500 [4 per cell]
O 0.0000 0.3451 0.5990 [8 per cell]
O 0.0000 0.5000 0.0000 [4 per cell]

---

# 2
For Sr5TlZn, a GGA-PBE-relaxed structure gives the computed powder X-ray diffraction pattern in this record (λ = 1.5418 Å (Cu Kα)).
Neutral-atom scattering factors, no anomalous dispersion.

Largest 8 diffraction maxima, by angle, 10° ≤ 2θ ≤ 90°:
- 14.1°, d 6.266, rel. 55.4
- 18.1°, d 4.894, rel. 39.2
- 24.2°, d 3.680, rel. 57.3
- 26.5°, d 3.369, rel. 100.0
- 27.0°, d 3.298, rel. 98.4
- 27.5°, d 3.240, rel. 53.7
- 28.8°, d 3.098, rel. 85.5
- 38.9°, d 2.313, rel. 39.4

a = 13.4406 Å, b = 7.9904 Å, c = 12.4560 Å
α = 90.00°, β = 111.19°, γ = 90.00°
Space group C2/c (No. 15)
Symmetry-distinct sites (fractional):
Sr 0.0000 0.0314 0.2500 [4 per cell]
Sr 0.1138 0.3443 0.0114 [8 per cell]
Sr 0.2248 0.1746 0.6454 [8 per cell]
Tl 0.0000 0.4643 0.2500 [4 per cell]
Zn 0.0000 0.0000 0.0000 [4 per cell]

---

# 3
For Cu19Sn16, a GGA-PBE-relaxed structure gives the computed powder X-ray diffraction pattern in this record (λ = 1.5418 Å (Cu Kα)).
Neutral-atom scattering factors, no anomalous dispersion.

Largest 8 diffraction maxima, by angle, 10° ≤ 2θ ≤ 90°:
- 29.8°, d 3.001, rel. 88.2
- 29.9°, d 2.988, rel. 83.9
- 42.3°, d 2.135, rel. 51.7
- 42.5°, d 2.128, rel. 100.0
- 42.9°, d 2.109, rel. 68.4
- 43.1°, d 2.101, rel. 66.5
- 62.2°, d 1.493, rel. 13.4
- 77.5°, d 1.231, rel. 14.3

a = 7.3642 Å, b = 9.9356 Å, c = 9.9828 Å
α = 118.04°, β = 90.09°, γ = 90.15°
Space group P1 (No. 1)
Symmetry-distinct sites (fractional):
Cu 0.0000 0.0000 0.0000 [1 per cell]
Cu 0.0003 0.2430 0.2569 [1 per cell]
Cu 0.0197 0.7509 0.7449 [1 per cell]
Cu 0.0225 0.5002 0.5019 [1 per cell]
Cu 0.0329 0.2496 0.7468 [1 per cell]
Cu 0.0349 0.9933 0.5077 [1 per cell]
Cu 0.0530 0.5003 0.9957 [1 per cell]
Cu 0.0536 0.7421 0.2565 [1 per cell]
Cu 0.1889 0.7470 0.5059 [1 per cell]
Cu 0.3682 0.6221 0.1231 [1 per cell]
Cu 0.5054 0.6235 0.3731 [1 per cell]
Cu 0.5078 0.8726 0.6301 [1 per cell]
Cu 0.5265 0.3708 0.1274 [1 per cell]
Cu 0.5306 0.1166 0.8815 [1 per cell]
Cu 0.5322 0.8709 0.1240 [1 per cell]
Cu 0.5345 0.6146 0.8839 [1 per cell]
Cu 0.5360 0.3665 0.6276 [1 per cell]
Cu 0.5376 0.1290 0.3722 [1 per cell]
Cu 0.6884 0.1210 0.1270 [1 per cell]
Sn 0.1825 0.4690 0.2426 [1 per cell]
Sn 0.1845 0.7606 0.9923 [1 per cell]
Sn 0.1870 0.0153 0.7737 [1 per cell]
Sn 0.1917 0.2468 0.4976 [1 per cell]
Sn 0.3290 0.1200 0.1292 [1 per cell]
Sn 0.3620 0.6099 0.6396 [1 per cell]
Sn 0.3730 0.3515 0.8594 [1 per cell]
Sn 0.3768 0.8971 0.3851 [1 per cell]
Sn 0.6832 0.8526 0.8590 [1 per cell]
Sn 0.6840 0.3929 0.3934 [1 per cell]
Sn 0.6995 0.1175 0.6271 [1 per cell]
Sn 0.7273 0.6206 0.1300 [1 per cell]
Sn 0.8297 0.7485 0.4971 [1 per cell]
Sn 0.8632 0.2613 0.9919 [1 per cell]
Sn 0.8697 0.4981 0.7535 [1 per cell]
Sn 0.8744 0.9823 0.2596 [1 per cell]

---

# 4
For PmSm6In5, a GGA-PBE-relaxed structure gives the computed powder X-ray diffraction pattern in this record (λ = 1.5418 Å (Cu Kα)).
Neutral-atom scattering factors, no anomalous dispersion.

Largest 8 diffraction maxima, by angle, 10° ≤ 2θ ≤ 90°:
- 31.9°, d 2.805, rel. 100.0
- 35.3°, d 2.545, rel. 18.7
- 35.5°, d 2.528, rel. 19.4
- 40.1°, d 2.251, rel. 12.7
- 50.9°, d 1.793, rel. 13.0
- 61.2°, d 1.515, rel. 13.6
- 61.5°, d 1.507, rel. 15.0
- 66.7°, d 1.403, rel. 10.5

a = 5.0557 Å, b = 9.0027 Å, c = 15.2683 Å
α = 90.00°, β = 90.00°, γ = 90.00°
Space group Immm (No. 71)
Symmetry-distinct sites (fractional):
Pm 0.0000 0.0000 0.0000 [2 per cell]
Sm 0.0000 0.2295 0.5000 [4 per cell]
Sm 0.0000 0.2627 0.1705 [8 per cell]
In 0.0000 0.0000 0.3245 [4 per cell]
In 0.0000 0.5000 0.0000 [2 per cell]
In 0.0000 0.5000 0.3462 [4 per cell]

---

# 5
For Cs2CaVI6, a GGA-PBE-relaxed structure gives the computed powder X-ray diffraction pattern in this record (λ = 1.5418 Å (Cu Kα)).
Neutral-atom scattering factors, no anomalous dispersion.

Largest 8 diffraction maxima, by angle, 10° ≤ 2θ ≤ 90°:
- 25.8°, d 3.455, rel. 100.0
- 29.9°, d 2.993, rel. 74.4
- 42.7°, d 2.116, rel. 53.9
- 50.6°, d 1.805, rel. 45.0
- 53.0°, d 1.728, rel. 18.6
- 68.3°, d 1.373, rel. 17.7
- 70.3°, d 1.338, rel. 23.0
- 78.3°, d 1.222, rel. 16.9

a = 11.9701 Å, b = 11.9701 Å, c = 11.9701 Å
α = 90.00°, β = 90.00°, γ = 90.00°
Space group Fm-3m (No. 225)
Symmetry-distinct sites (fractional):
Cs 0.2500 0.2500 0.2500 [8 per cell]
Ca 0.0000 0.0000 0.0000 [4 per cell]
V 0.0000 0.0000 0.5000 [4 per cell]
I 0.0000 0.0000 0.2604 [24 per cell]

---

# 6
For Bi2AsHPd6, a GGA-PBE-relaxed structure gives the computed powder X-ray diffraction pattern in this record (λ = 1.5418 Å (Cu Kα)).
Neutral-atom scattering factors, no anomalous dispersion.

Largest 8 diffraction maxima, by angle, 10° ≤ 2θ ≤ 90°:
- 30.5°, d 2.936, rel. 96.9
- 36.5°, d 2.461, rel. 93.4
- 37.3°, d 2.409, rel. 100.0
- 37.7°, d 2.386, rel. 85.3
- 40.3°, d 2.239, rel. 75.4
- 41.2°, d 2.193, rel. 75.7
- 41.3°, d 2.188, rel. 75.6
- 41.6°, d 2.170, rel. 52.7

a = 5.7261 Å, b = 5.8215 Å, c = 6.7184 Å
α = 65.55°, β = 64.95°, γ = 61.26°
Space group P-1 (No. 2)
Symmetry-distinct sites (fractional):
Bi 0.2225 0.2602 0.3088 [2 per cell]
As 0.5000 0.5000 0.5000 [1 per cell]
H 0.0000 0.0000 0.0000 [1 per cell]
Pd 0.2266 0.6569 0.8614 [2 per cell]
Pd 0.2520 0.8163 0.2036 [2 per cell]
Pd 0.2529 0.1858 0.7684 [2 per cell]

---

# 7
For Tb12Y7Mg, a GGA-PBE-relaxed structure gives the computed powder X-ray diffraction pattern in this record (λ = 1.5418 Å (Cu Kα)).
Neutral-atom scattering factors, no anomalous dispersion.

Largest 8 diffraction maxima, by angle, 10° ≤ 2θ ≤ 90°:
- 10.4°, d 8.515, rel. 100.0
- 18.0°, d 4.916, rel. 34.4
- 27.7°, d 3.218, rel. 51.8
- 29.7°, d 3.010, rel. 34.7
- 33.3°, d 2.693, rel. 83.1
- 36.6°, d 2.458, rel. 67.9
- 38.1°, d 2.362, rel. 32.6
- 57.3°, d 1.609, rel. 41.1

a = 12.0416 Å, b = 12.0416 Å, c = 12.0416 Å
α = 90.00°, β = 90.00°, γ = 90.00°
Space group Im-3 (No. 204)
Symmetry-distinct sites (fractional):
Tb 0.0000 0.3574 0.2615 [24 per cell]
Y 0.0000 0.0000 0.5000 [6 per cell]
Y 0.2500 0.2500 0.2500 [8 per cell]
Mg 0.0000 0.0000 0.0000 [2 per cell]

---

# 8
For Pu2MgPb3, a GGA-PBE-relaxed structure gives the computed powder X-ray diffraction pattern in this record (λ = 1.5418 Å (Cu Kα)).
Neutral-atom scattering factors, no anomalous dispersion.

Largest 8 diffraction maxima, by angle, 10° ≤ 2θ ≤ 90°:
- 32.5°, d 2.758, rel. 100.0
- 36.9°, d 2.435, rel. 35.7
- 39.1°, d 2.302, rel. 13.9
- 53.2°, d 1.721, rel. 12.7
- 54.9°, d 1.673, rel. 21.8
- 63.7°, d 1.460, rel. 31.0
- 66.7°, d 1.402, rel. 10.8
- 68.0°, d 1.379, rel. 11.3

a = 3.4429 Å, b = 3.4429 Å, c = 13.8145 Å
α = 90.00°, β = 90.00°, γ = 90.00°
Space group P4/mmm (No. 123)
Symmetry-distinct sites (fractional):
Pu 0.0000 0.0000 0.1697 [2 per cell]
Mg 0.0000 0.0000 0.5000 [1 per cell]
Pb 0.5000 0.5000 0.0000 [1 per cell]
Pb 0.5000 0.5000 0.3455 [2 per cell]

---

# 9
For ErAgHgPt, a GGA-PBE-relaxed structure gives the computed powder X-ray diffraction pattern in this record (λ = 1.5418 Å (Cu Kα)).
Neutral-atom scattering factors, no anomalous dispersion.

Largest 8 diffraction maxima, by angle, 10° ≤ 2θ ≤ 90°:
- 22.5°, d 3.957, rel. 3.7
- 26.0°, d 3.427, rel. 1.0
- 37.1°, d 2.423, rel. 100.0
- 43.8°, d 2.066, rel. 2.2
- 53.5°, d 1.713, rel. 17.5
- 58.7°, d 1.572, rel. 1.0
- 66.9°, d 1.399, rel. 35.8
- 79.0°, d 1.212, rel. 11.3

a = 6.8533 Å, b = 6.8533 Å, c = 6.8533 Å
α = 90.00°, β = 90.00°, γ = 90.00°
Space group F-43m (No. 216)
Symmetry-distinct sites (fractional):
Er 0.0000 0.0000 0.0000 [4 per cell]
Ag 0.2500 0.2500 0.2500 [4 per cell]
Hg 0.0000 0.0000 0.5000 [4 per cell]
Pt 0.2500 0.2500 0.7500 [4 per cell]

---

# 10
For KBa2Pt, a GGA-PBE-relaxed structure gives the computed powder X-ray diffraction pattern in this record (λ = 1.5418 Å (Cu Kα)).
Neutral-atom scattering factors, no anomalous dispersion.

Largest 8 diffraction maxima, by angle, 10° ≤ 2θ ≤ 90°:
- 23.5°, d 3.789, rel. 46.2
- 27.3°, d 3.270, rel. 100.0
- 32.7°, d 2.739, rel. 41.6
- 38.7°, d 2.324, rel. 39.6
- 39.2°, d 2.300, rel. 41.5
- 39.6°, d 2.276, rel. 28.9
- 48.0°, d 1.895, rel. 21.0
- 63.3°, d 1.469, rel. 18.3

a = 8.0513 Å, b = 4.6493 Å, c = 11.2126 Å
α = 90.00°, β = 90.10°, γ = 90.00°
Space group C2/m (No. 12)
Symmetry-distinct sites (fractional):
K 0.0000 0.0000 0.0000 [2 per cell]
Ba 0.1670 0.5000 0.6491 [4 per cell]
Pt 0.0000 0.0000 0.5000 [2 per cell]

---

# 11
For AsW3Se8, a GGA-PBE-relaxed structure gives the computed powder X-ray diffraction pattern in this record (λ = 1.5418 Å (Cu Kα)).
Neutral-atom scattering factors, no anomalous dispersion.

Largest 8 diffraction maxima, by angle, 10° ≤ 2θ ≤ 90°:
- 12.3°, d 7.182, rel. 100.0
- 19.1°, d 4.656, rel. 24.3
- 31.8°, d 2.813, rel. 35.5
- 34.8°, d 2.577, rel. 46.7
- 38.7°, d 2.328, rel. 19.1
- 39.5°, d 2.282, rel. 16.1
- 43.2°, d 2.094, rel. 23.9
- 51.8°, d 1.765, rel. 20.3

a = 7.0603 Å, b = 7.0603 Å, c = 14.3647 Å
α = 90.00°, β = 90.00°, γ = 120.00°
Space group P6_3mc (No. 186)
Symmetry-distinct sites (fractional):
As 0.3333 0.6667 0.0000 [2 per cell]
W 0.1337 0.2674 0.8026 [6 per cell]
Se 0.0000 0.0000 0.4356 [2 per cell]
Se 0.0017 0.5009 0.4067 [6 per cell]
Se 0.1727 0.3454 0.1964 [6 per cell]
Se 0.3333 0.6667 0.7226 [2 per cell]

---

# 12
For Mg2Pb7, a GGA-PBE-relaxed structure gives the computed powder X-ray diffraction pattern in this record (λ = 1.5418 Å (Cu Kα)).
Neutral-atom scattering factors, no anomalous dispersion.

Largest 8 diffraction maxima, by angle, 10° ≤ 2θ ≤ 90°:
- 31.0°, d 2.887, rel. 30.5
- 31.7°, d 2.820, rel. 100.0
- 36.6°, d 2.457, rel. 62.2
- 52.2°, d 1.752, rel. 26.0
- 53.2°, d 1.722, rel. 22.1
- 62.8°, d 1.479, rel. 25.2
- 63.3°, d 1.470, rel. 14.4
- 87.2°, d 1.118, rel. 12.7

a = 5.9660 Å, b = 5.9660 Å, c = 8.6613 Å
α = 90.00°, β = 90.00°, γ = 120.00°
Space group P-31m (No. 162)
Symmetry-distinct sites (fractional):
Mg 0.3333 0.6667 0.0000 [2 per cell]
Pb 0.0000 0.0000 0.0000 [1 per cell]
Pb 0.0000 0.3375 0.6819 [6 per cell]